CeSiI: theoretical powder XRD pattern (Cu Kα X-rays), based on DFT lattice parameters and positions (GGA-PBE).
Peak positions follow from Bragg's law for the DFT cell and can differ from measured ones.

Unit cell a=4.154 b=4.154 c=12.092 alpha=90.00 beta=90.00 gamma=120.00
Atoms (fractional coordinates):
Ce: 0.000 0.000 0.159
Ce: 0.000 0.000 0.841
Si: 0.333 0.667 0.996
Si: 0.667 0.333 0.004
I: 0.333 0.667 0.339
I: 0.667 0.333 0.661

Largest 10 diffraction maxima, in order of rising 2θ, 2θ = 10–90°:
| Position (°2θ) | I/Imax |
| --- | --- |
| 14.65 | 18 |
| 25.84 | 72 |
| 28.88 | 38 |
| 33.39 | 100 |
| 38.92 | 16 |
| 43.58 | 44 |
| 44.98 | 13 |
| 55.99 | 23 |
| 64.42 | 26 |
| 73.51 | 20 |

=====

CeSmI4: theoretical powder XRD pattern (Cu Kα X-rays), based on DFT lattice parameters and positions (GGA-PBE).
Peak positions follow from Bragg's law for the DFT cell and can differ from measured ones.

Unit cell a=8.852 b=8.852 c=7.630 alpha=110.71 beta=110.71 gamma=110.28
Atoms (fractional coordinates):
Ce: 0.005 0.995 0.750
Ce: 0.995 0.005 0.250
Sm: 0.367 0.633 0.750
Sm: 0.633 0.367 0.250
I: 0.057 0.689 0.409
I: 0.256 0.376 0.248
I: 0.311 0.943 0.091
I: 0.376 0.256 0.748
I: 0.624 0.744 0.252
I: 0.689 0.057 0.909
I: 0.744 0.624 0.752
I: 0.943 0.311 0.591

Largest 10 diffraction maxima, in order of rising 2θ, 2θ = 10–90°:
| Position (°2θ) | I/Imax |
| --- | --- |
| 13.26 | 52 |
| 27.79 | 100 |
| 28.74 | 96 |
| 30.31 | 49 |
| 30.69 | 81 |
| 32.31 | 53 |
| 32.84 | 77 |
| 33.60 | 64 |
| 36.15 | 46 |
| 38.73 | 65 |

=====

Ce2In: theoretical powder XRD pattern (Cu Kα X-rays), based on DFT lattice parameters and positions (GGA-PBE).
Peak positions follow from Bragg's law for the DFT cell and can differ from measured ones.

Unit cell a=5.482 b=5.482 c=6.696 alpha=90.00 beta=90.00 gamma=120.00
Atoms (fractional coordinates):
Ce: 0.000 0.000 0.000
Ce: 0.000 0.000 0.500
Ce: 0.333 0.667 0.250
Ce: 0.667 0.333 0.750
In: 0.333 0.667 0.750
In: 0.667 0.333 0.250

Largest 10 diffraction maxima, in order of rising 2θ, 2θ = 10–90°:
| Position (°2θ) | I/Imax |
| --- | --- |
| 32.70 | 100 |
| 42.63 | 4 |
| 46.92 | 17 |
| 54.85 | 4 |
| 58.33 | 28 |
| 65.32 | 14 |
| 68.46 | 6 |
| 77.97 | 8 |
| 84.19 | 7 |
| 87.12 | 3 |

=====

Ce3In: theoretical powder XRD pattern (Cu Kα X-rays), based on DFT lattice parameters and positions (GGA-PBE).
Peak positions follow from Bragg's law for the DFT cell and can differ from measured ones.

Unit cell a=4.815 b=4.815 c=4.815 alpha=90.00 beta=90.00 gamma=90.00
Atoms (fractional coordinates):
Ce: 0.000 0.000 0.500
Ce: 0.000 0.500 0.000
Ce: 0.500 0.000 0.000
In: 0.500 0.500 0.500

Largest 8 diffraction maxima, in order of rising 2θ, 2θ = 10–90°:
| Position (°2θ) | I/Imax |
| --- | --- |
| 18.43 | 1 |
| 32.20 | 100 |
| 37.35 | 50 |
| 53.85 | 35 |
| 64.15 | 41 |
| 67.37 | 12 |
| 79.65 | 5 |
| 88.52 | 17 |

=====

CeIn3: theoretical powder XRD pattern (Cu Kα X-rays), based on DFT lattice parameters and positions (GGA-PBE).
Peak positions follow from Bragg's law for the DFT cell and can differ from measured ones.

Unit cell a=4.708 b=4.708 c=4.708 alpha=90.00 beta=90.00 gamma=90.00
Atoms (fractional coordinates):
Ce: 0.000 0.000 0.000
In: 0.000 0.500 0.500
In: 0.500 0.000 0.500
In: 0.500 0.500 0.000

Largest 8 diffraction maxima, in order of rising 2θ, 2θ = 10–90°:
| Position (°2θ) | I/Imax |
| --- | --- |
| 18.85 | 1 |
| 26.78 | 1 |
| 32.96 | 100 |
| 38.24 | 50 |
| 55.19 | 34 |
| 65.79 | 39 |
| 69.12 | 11 |
| 81.85 | 5 |

=====

CeIn2Ir: theoretical powder XRD pattern (Cu Kα X-rays), based on DFT lattice parameters and positions (GGA-PBE).
Peak positions follow from Bragg's law for the DFT cell and can differ from measured ones.

Unit cell a=5.506 b=5.506 c=8.224 alpha=90.00 beta=90.00 gamma=133.05
Atoms (fractional coordinates):
Ce: 0.068 0.932 0.750
Ce: 0.932 0.068 0.250
In: 0.356 0.644 0.550
In: 0.356 0.644 0.950
In: 0.644 0.356 0.050
In: 0.644 0.356 0.450
Ir: 0.217 0.783 0.250
Ir: 0.783 0.217 0.750

Largest 10 diffraction maxima, in order of rising 2θ, 2θ = 10–90°:
| Position (°2θ) | I/Imax |
| --- | --- |
| 17.56 | 23 |
| 31.10 | 100 |
| 35.33 | 89 |
| 37.27 | 54 |
| 39.79 | 48 |
| 40.26 | 37 |
| 41.15 | 46 |
| 41.98 | 21 |
| 56.72 | 32 |
| 68.45 | 26 |

=====

CeInIr: theoretical powder XRD pattern (Cu Kα X-rays), based on DFT lattice parameters and positions (GGA-PBE).
Peak positions follow from Bragg's law for the DFT cell and can differ from measured ones.

Unit cell a=7.567 b=7.567 c=4.025 alpha=90.00 beta=90.00 gamma=120.00
Atoms (fractional coordinates):
Ce: 0.000 0.588 0.000
Ce: 0.412 0.412 0.000
Ce: 0.588 0.000 0.000
In: 0.000 0.252 0.500
In: 0.252 0.000 0.500
In: 0.748 0.748 0.500
Ir: 0.000 0.000 0.000
Ir: 0.333 0.667 0.500
Ir: 0.667 0.333 0.500

Largest 10 diffraction maxima, in order of rising 2θ, 2θ = 10–90°:
| Position (°2θ) | I/Imax |
| --- | --- |
| 23.51 | 18 |
| 32.48 | 69 |
| 35.32 | 100 |
| 36.27 | 33 |
| 41.33 | 42 |
| 42.87 | 41 |
| 45.05 | 26 |
| 59.16 | 15 |
| 62.78 | 24 |
| 66.38 | 31 |

=====

CeIn5Ir: theoretical powder XRD pattern (Cu Kα X-rays), based on DFT lattice parameters and positions (GGA-PBE).
Peak positions follow from Bragg's law for the DFT cell and can differ from measured ones.

Unit cell a=4.724 b=4.724 c=7.576 alpha=90.00 beta=90.00 gamma=90.00
Atoms (fractional coordinates):
Ce: 0.000 0.000 0.000
In: 0.000 0.500 0.303
In: 0.000 0.500 0.697
In: 0.500 0.000 0.303
In: 0.500 0.000 0.697
In: 0.500 0.500 0.000
Ir: 0.000 0.000 0.500

Largest 10 diffraction maxima, in order of rising 2θ, 2θ = 10–90°:
| Position (°2θ) | I/Imax |
| --- | --- |
| 18.78 | 17 |
| 22.18 | 14 |
| 29.22 | 13 |
| 30.24 | 10 |
| 35.84 | 100 |
| 38.10 | 53 |
| 53.09 | 10 |
| 54.98 | 18 |
| 62.90 | 9 |
| 67.38 | 31 |

=====

Ce2In8Ir: theoretical powder XRD pattern (Cu Kα X-rays), based on DFT lattice parameters and positions (GGA-PBE).
Peak positions follow from Bragg's law for the DFT cell and can differ from measured ones.

Unit cell a=4.757 b=4.757 c=12.440 alpha=90.00 beta=90.00 gamma=90.00
Atoms (fractional coordinates):
Ce: 0.000 0.000 0.197
Ce: 0.000 0.000 0.803
In: 0.000 0.500 0.000
In: 0.000 0.500 0.379
In: 0.000 0.500 0.621
In: 0.500 0.000 0.000
In: 0.500 0.000 0.379
In: 0.500 0.000 0.621
In: 0.500 0.500 0.193
In: 0.500 0.500 0.807
Ir: 0.000 0.000 0.500

Largest 10 diffraction maxima, in order of rising 2θ, 2θ = 10–90°:
| Position (°2θ) | I/Imax |
| --- | --- |
| 19.98 | 9 |
| 30.20 | 22 |
| 34.33 | 100 |
| 36.10 | 14 |
| 37.82 | 55 |
| 39.46 | 13 |
| 53.28 | 17 |
| 54.56 | 19 |
| 66.07 | 29 |
| 66.21 | 10 |

=====

Ce2MgIn: theoretical powder XRD pattern (Cu Kα X-rays), based on DFT lattice parameters and positions (GGA-PBE).
Peak positions follow from Bragg's law for the DFT cell and can differ from measured ones.

Unit cell a=5.371 b=5.371 c=5.371 alpha=60.00 beta=60.00 gamma=60.00
Atoms (fractional coordinates):
Ce: 0.250 0.250 0.250
Ce: 0.750 0.750 0.750
Mg: 0.000 0.000 0.000
In: 0.500 0.500 0.500

Largest 10 diffraction maxima, in order of rising 2θ, 2θ = 10–90°:
| Position (°2θ) | I/Imax |
| --- | --- |
| 20.25 | 11 |
| 23.42 | 13 |
| 33.36 | 100 |
| 39.34 | 6 |
| 47.90 | 18 |
| 53.98 | 5 |
| 59.63 | 37 |
| 70.07 | 11 |
| 79.86 | 16 |
| 89.36 | 4 |

=====

CeMgIn3Rh: theoretical powder XRD pattern (Cu Kα X-rays), based on DFT lattice parameters and positions (GGA-PBE).
Peak positions follow from Bragg's law for the DFT cell and can differ from measured ones.

Unit cell a=8.303 b=4.446 c=7.371 alpha=90.00 beta=90.00 gamma=90.00
Atoms (fractional coordinates):
Ce: 0.250 0.000 0.100
Ce: 0.750 0.000 0.900
Mg: 0.000 0.000 0.500
Mg: 0.500 0.000 0.500
In: 0.054 0.500 0.806
In: 0.250 0.500 0.442
In: 0.446 0.500 0.806
In: 0.554 0.500 0.194
In: 0.750 0.500 0.558
In: 0.946 0.500 0.194
Rh: 0.250 0.000 0.723
Rh: 0.750 0.000 0.277

Largest 10 diffraction maxima, in order of rising 2θ, 2θ = 10–90°:
| Position (°2θ) | I/Imax |
| --- | --- |
| 29.44 | 58 |
| 31.89 | 100 |
| 33.37 | 89 |
| 38.20 | 48 |
| 38.43 | 66 |
| 40.29 | 38 |
| 40.58 | 58 |
| 43.60 | 23 |
| 56.95 | 29 |
| 65.08 | 22 |

=====

Ce11In9Ni4: theoretical powder XRD pattern (Cu Kα X-rays), based on DFT lattice parameters and positions (GGA-PBE).
Peak positions follow from Bragg's law for the DFT cell and can differ from measured ones.

Unit cell a=13.020 b=13.020 c=3.696 alpha=90.00 beta=90.00 gamma=112.25
Atoms (fractional coordinates):
Ce: 0.000 0.000 0.000
Ce: 0.071 0.416 0.000
Ce: 0.156 0.844 0.000
Ce: 0.313 0.313 0.000
Ce: 0.375 0.625 0.000
Ce: 0.416 0.071 0.000
Ce: 0.584 0.929 0.000
Ce: 0.625 0.375 0.000
Ce: 0.687 0.687 0.000
Ce: 0.844 0.156 0.000
Ce: 0.929 0.584 0.000
In: 0.082 0.221 0.500
In: 0.162 0.632 0.500
In: 0.221 0.082 0.500
In: 0.368 0.838 0.500
In: 0.500 0.500 0.500
In: 0.632 0.162 0.500
In: 0.779 0.918 0.500
In: 0.838 0.368 0.500
In: 0.918 0.779 0.500
Ni: 0.252 0.451 0.500
Ni: 0.451 0.252 0.500
Ni: 0.549 0.748 0.500
Ni: 0.748 0.549 0.500

Largest 10 diffraction maxima, in order of rising 2θ, 2θ = 10–90°:
| Position (°2θ) | I/Imax |
| --- | --- |
| 30.72 | 25 |
| 31.82 | 24 |
| 32.93 | 28 |
| 34.64 | 100 |
| 34.77 | 100 |
| 35.10 | 76 |
| 36.99 | 26 |
| 38.12 | 30 |
| 49.31 | 35 |
| 61.96 | 28 |